This entry pairs a crystal structure of Mg2Pd3Pt2 with its simulated X-ray powder pattern. Radiation: copper Kα. Structure: the GGA-PBE geometry in Alexandria.
Neutral-atom scattering factors, no anomalous dispersion.

Principal peaks in the range 15° ≤ 2θ ≤ 90°, most intense first:
| d (Å) | 2θ/deg | intensity |
| --- | --- | --- |
| 2.046 | 44.26 | 100 |
| 2.175 | 41.52 | 78 |
| 4.267 | 20.82 | 65 |
| 2.297 | 39.22 | 63 |
| 2.497 | 35.97 | 53 |
| 2.282 | 39.49 | 51 |
| 2.424 | 37.09 | 50 |
| 1.904 | 47.76 | 25 |
| 1.372 | 68.36 | 24 |
| 4.570 | 19.42 | 20 |

Crystal structure
Cell lengths 9.215, 2.853, 9.272 Å; angles 90.00, 112.16, 90.00 degrees
Space group C2/m (No. 12)
Inequivalent atoms, fractional coordinates:
Mg  0.050  0.000  0.275 [4 per cell]
Pd  0.000  0.500  0.000 [2 per cell]
Pd  0.180  0.000  0.591 [4 per cell]
Pt  0.220  0.500  0.861 [4 per cell]

=====

This entry pairs a crystal structure of MgPd4Pt4 with its simulated X-ray powder pattern. Radiation: copper Kα. Structure: the GGA-PBE geometry in Alexandria.
Neutral-atom scattering factors, no anomalous dispersion.

Principal peaks in the range 15° ≤ 2θ ≤ 90°, most intense first:
| d (Å) | 2θ/deg | intensity |
| --- | --- | --- |
| 2.284 | 39.46 | 100 |
| 1.993 | 45.52 | 33 |
| 1.199 | 80.01 | 26 |
| 1.393 | 67.20 | 21 |
| 1.948 | 46.62 | 16 |
| 2.713 | 33.01 | 14 |
| 1.179 | 81.63 | 12 |
| 1.142 | 84.94 | 11 |
| 1.409 | 66.33 | 11 |
| 2.989 | 29.89 | 5 |

Crystal structure
Cell lengths 8.455, 8.455, 3.896 Å; angles 90.00, 90.00, 90.00 degrees
Space group I4/mmm (No. 139)
Inequivalent atoms, fractional coordinates:
Mg  0.000  0.000  0.000 [2 per cell]
Pd  0.166  0.166  0.500 [8 per cell]
Pt  0.000  0.332  0.000 [8 per cell]